# 1
Computed powder diffractogram
Compound: Ho2NpGa6
Radiation: Cu Kα (λ = 1.5418 Å)
Structure: DFT lattice parameters and positions (GGA-PBE)
No peak broadening, texture or thermal motion is included.

Structure:
a b c (Å): 7.623 7.623 3.623
angles (deg): 90.00 90.00 120.00
Positions (direct):
Ho 0.333 0.667 0.000
Ho 0.667 0.333 0.000
Np 0.000 0.000 0.000
Ga 0.000 0.334 0.500
Ga 0.000 0.666 0.500
Ga 0.334 0.000 0.500
Ga 0.334 0.334 0.500
Ga 0.666 0.000 0.500
Ga 0.666 0.666 0.500

Top 10 peaks for 10 to 90 degrees two-theta, low angle first:
d (Å), intensity
3.812, 24
2.626, 100
2.201, 50
1.811, 9
1.687, 27
1.399, 23
1.339, 25
1.271, 8
1.151, 8
1.100, 6

# 2
Computed powder diffractogram
Compound: Ac3Sb5Rh6
Radiation: Cu Kα (λ = 1.5418 Å)
Structure: DFT lattice parameters and positions (GGA-PBE)
No peak broadening, texture or thermal motion is included.

Structure:
a b c (Å): 4.360 13.002 11.430
angles (deg): 90.00 90.00 90.00
Positions (direct):
Ac 0.250 0.087 0.230
Ac 0.250 0.413 0.230
Ac 0.250 0.750 0.243
Ac 0.750 0.250 0.757
Ac 0.750 0.587 0.770
Ac 0.750 0.913 0.770
Sb 0.250 0.078 0.635
Sb 0.250 0.422 0.635
Sb 0.250 0.617 0.996
Sb 0.250 0.750 0.624
Sb 0.250 0.883 0.996
Sb 0.750 0.117 0.004
Sb 0.750 0.250 0.376
Sb 0.750 0.383 0.004
Sb 0.750 0.578 0.365
Sb 0.750 0.922 0.365
Rh 0.250 0.062 0.864
Rh 0.250 0.250 0.509
Rh 0.250 0.250 0.998
Rh 0.250 0.438 0.864
Rh 0.250 0.583 0.495
Rh 0.250 0.917 0.495
Rh 0.750 0.083 0.505
Rh 0.750 0.417 0.505
Rh 0.750 0.562 0.136
Rh 0.750 0.750 0.002
Rh 0.750 0.750 0.491
Rh 0.750 0.938 0.136

Top 10 peaks for 10 to 90 degrees two-theta, low angle first:
d (Å), intensity
3.074, 14
2.865, 63
2.707, 100
2.180, 28
2.167, 21
2.023, 28
1.734, 18
1.729, 14
1.619, 12
1.537, 15